Starting from a cell relaxed with PBE+U, the X-ray diffraction stick pattern of Na4WO5 was calculated for Cu Kα (λ = 1.5418 Å).
Intensities are scaled so that the largest is 100.

Peak list (8 most intense, 2θ from 15° to 90°, most intense first)
2θ 16.47, I = 100, hkl 0 1 0
2θ 17.13, I = 39, hkl 1 0 0
2θ 38.54, I = 32, hkl -1 1 3
2θ 38.25, I = 29, hkl 1 -2 2
2θ 39.40, I = 27, hkl 2 1 -1
2θ 19.89, I = 26, hkl 1 -1 0
2θ 56.58, I = 24, hkl 1 2 2
2θ 22.87, I = 21, hkl 0 0 2

Atomic structure:
a b c (Å): 5.7388 5.7716 8.6036
angles (deg): 101.54 109.08 102.29
Space group P-1 (No. 2)
Inequivalent atoms, fractional coordinates:
Na1 0.0000 0.0000 0.0000 (multiplicity 1)
Na2 0.0000 0.5000 0.5000 (multiplicity 1)
Na3 0.1923 0.4873 0.9026 (multiplicity 2)
Na4 0.1975 0.0030 0.3978 (multiplicity 2)
Na5 0.3803 0.4940 0.2939 (multiplicity 2)
W1 0.3988 0.9964 0.7949 (multiplicity 2)
O1 0.0638 0.7778 0.7582 (multiplicity 2)
O2 0.2408 0.2087 0.6853 (multiplicity 2)
O3 0.2597 0.7855 0.1559 (multiplicity 2)
O4 0.4086 0.7784 0.6002 (multiplicity 2)
O5 0.4226 0.1910 0.0366 (multiplicity 2)

***

Starting from a cell relaxed with PBE+U, the X-ray diffraction stick pattern of Na5W6O18 was calculated for Cu Kα (λ = 1.5418 Å).
Intensities are scaled so that the largest is 100.

Peak list (8 most intense, 2θ from 15° to 90°, most intense first)
2θ 32.03, I = 100, hkl 2 2 3
2θ 22.43, I = 91, hkl 0 2 3
2θ 22.57, I = 45, hkl 2 0 0
2θ 51.64, I = 29, hkl 0 6 3
2θ 45.77, I = 27, hkl 0 4 6
2θ 57.09, I = 24, hkl 4 0 6
2θ 31.81, I = 20, hkl 0 0 6
2θ 66.98, I = 20, hkl 0 8 0

Atomic structure:
a b c (Å): 7.8788 11.1751 16.8779
angles (deg): 90.00 90.00 90.00
Space group Cmcm (No. 63)
Inequivalent atoms, fractional coordinates:
Na1 0.0000 0.1254 0.0837 (multiplicity 8)
Na2 0.0000 0.1250 0.7500 (multiplicity 4)
Na3 0.0000 0.3753 0.5838 (multiplicity 8)
W1 0.2488 0.3750 0.0849 (multiplicity 16)
W2 0.2500 0.1248 0.2500 (multiplicity 8)
O1 0.0000 0.1223 0.2500 (multiplicity 4)
O2 0.0000 0.1250 0.5835 (multiplicity 8)
O3 0.0000 0.3723 0.7500 (multiplicity 4)
O4 0.0000 0.3750 0.0818 (multiplicity 8)
O5 0.2473 0.9995 0.1642 (multiplicity 16)
O6 0.2473 0.2494 0.6641 (multiplicity 16)
O7 0.2503 0.0000 0.0000 (multiplicity 8)
O8 0.2500 0.2500 0.0000 (multiplicity 8)